Simulated PXRD pattern
Compound: BaAc2Fe2O7
Radiation: Cu Kα X-rays
Structure: a cell relaxed with GGA+U
Intensities are scaled so that the largest is 100.

Peak list (12 most intense, 2θ = 5–70°, most intense first)
| 2θ/deg | I/Imax |
| --- | --- |
| 27.1 | 100 |
| 31.3 | 81 |
| 45.4 | 70 |
| 27.4 | 61 |
| 8.2 | 31 |
| 38.2 | 29 |
| 21.4 | 28 |
| 35.4 | 25 |
| 57.7 | 25 |
| 18.0 | 19 |
| 53.1 | 17 |
| 41.8 | 17 |

```
BaAc2Fe2O7
1.0
-1.8272 10.8006 2.5332
1.8272 -10.8006 2.5332
1.8272 10.8006 -2.5332
Ba Ac Fe O
1 2 2 7
Direct
0.0000 0.0000 0.0000
0.1420 0.4487 0.6934
0.7553 0.4487 0.3066
0.4247 0.0104 0.4142
0.5962 0.0104 0.5858
0.0614 0.6502 0.4112
0.1962 0.9309 0.2653
0.2389 0.6502 0.5888
0.5370 0.6508 0.8863
0.6042 0.1042 0.5000
0.6656 0.9309 0.7347
0.7645 0.6508 0.1137
```